La2Tb4NdEr: theoretical PXRD pattern (Cu Kα), based on a structure optimized by DFT (GGA-PBE).
Neutral-atom scattering factors, no anomalous dispersion.

Structure:
Lattice parameters (Å, degrees): 5.124 5.154 10.159 90.00 90.00 90.00
Space group Pmmm (No. 47)
Symmetry-distinct sites (fractional):
La (0.000, 0.000, 0.000) (multiplicity 1)
La (0.500, 0.500, 0.500) (multiplicity 1)
Tb (0.000, 0.500, 0.248) (multiplicity 2)
Tb (0.500, 0.000, 0.248) (multiplicity 2)
Nd (0.000, 0.000, 0.500) (multiplicity 1)
Er (0.500, 0.500, 0.000) (multiplicity 1)

Principal peaks in the range 2θ = 15–90°, by angle:
Position (°2θ)	I_rel	hkl
30.24	1000	1 1 2
34.81	172	0 2 0
35.03	169	2 0 0
35.34	165	0 0 4
50.22	122	2 2 0
50.45	121	0 2 4
50.61	119	2 0 4
59.61	146	1 3 2
59.89	144	3 1 2
60.31	141	1 1 6
62.89	124	2 2 4
81.74	60	3 3 2

=====

Hg2Bi2Au: theoretical PXRD pattern (Cu Kα), based on a structure optimized by DFT (GGA-PBE).
Neutral-atom scattering factors, no anomalous dispersion.

Structure:
Lattice parameters (Å, degrees): 6.709 13.848 5.801 90.00 90.00 90.00
Space group Ibam (No. 72)
Symmetry-distinct sites (fractional):
Hg (0.169, 0.181, 0.000) (multiplicity 8)
Bi (0.146, 0.405, 0.000) (multiplicity 8)
Au (0.000, 0.000, 0.250) (multiplicity 4)

Principal peaks in the range 2θ = 15–90°, by angle:
Position (°2θ)	I_rel	hkl
30.83	348	0 0 2
31.48	995	2 1 1
32.95	1000	1 4 1
34.30	292	1 1 2
35.05	487	1 5 0
39.06	230	1 3 2
40.58	285	0 4 2
41.14	227	2 0 2
55.23	210	2 1 3
56.19	226	1 4 3
62.22	425	3 5 2
64.18	248	0 0 4

=====

Ca3Ga4Pt4: theoretical PXRD pattern (Cu Kα), based on a structure optimized by DFT (GGA-PBE).
Neutral-atom scattering factors, no anomalous dispersion.

Structure:
Lattice parameters (Å, degrees): 4.099 4.395 25.573 90.00 90.00 90.00
Space group Immm (No. 71)
Symmetry-distinct sites (fractional):
Ca (0.000, 0.000, 0.000) (multiplicity 2)
Ca (0.000, 0.500, 0.145) (multiplicity 4)
Ga (0.000, 0.000, 0.253) (multiplicity 4)
Ga (0.000, 0.500, 0.403) (multiplicity 4)
Pt (0.000, 0.000, 0.447) (multiplicity 4)
Pt (0.000, 0.500, 0.306) (multiplicity 4)

Principal peaks in the range 2θ = 15–90°, by angle:
Position (°2θ)	I_rel	hkl
21.96	1000	1 0 1
22.76	675	0 1 3
30.63	691	1 1 2
32.84	700	1 0 7
33.00	439	1 1 4
36.65	293	1 1 6
41.07	521	0 2 0
44.07	445	0 1 11
44.19	422	2 0 0
46.69	852	1 1 10
53.55	346	1 2 7
61.91	307	2 2 0